(1)
For Tb4Dy3Ho3, a GGA-PBE-relaxed structure gives the simulated powder diffraction line list in this record (Cu Kα, 1.54184 Å).
No peak broadening, texture or thermal motion is included.

Largest 12 diffraction maxima, most intense first, 10 to 90 degrees two-theta:
- (1 3 1), 32.42 deg, I = 100
- (0 2 4), 30.56 deg, I = 61
- (1 2 2), 30.91 deg, I = 28
- (2 2 4), 58.97 deg, I = 19
- (1 3 7), 59.29 deg, I = 17
- (1 6 4), 56.47 deg, I = 15
- (2 6 6), 81.18 deg, I = 12
- (1 5 3), 47.36 deg, I = 12
- (0 0 4), 27.27 deg, I = 12
- (2 0 0), 49.13 deg, I = 12
- (0 5 1), 34.98 deg, I = 10
- (1 2 4), 39.23 deg, I = 8

Structural model:
Cell: 3.709 13.084 13.078 Å, 90.00 90.00 90.00°
Space group Amm2 (No. 38)
Unique sites:
Tb  0.000  0.000  0.000
Tb  0.000  0.000  0.255
Tb  0.000  0.128  0.627
Dy  0.000  0.250  0.378
Dy  0.500  0.000  0.798
Ho  0.500  0.000  0.457
Ho  0.500  0.171  0.128



(2)
For SrCaCdO3, a GGA-PBE-relaxed structure gives the simulated powder diffraction line list in this record (Cu Kα, 1.54184 Å).
No peak broadening, texture or thermal motion is included.

Largest 12 diffraction maxima, most intense first, 10 to 90 degrees two-theta:
- (1 0 3), 31.40 deg, I = 100
- (2 1 0), 38.07 deg, I = 99
- (1 1 0), 29.75 deg, I = 73
- (0 1 3), 38.55 deg, I = 66
- (1 0 -3), 29.98 deg, I = 64
- (0 1 2), 32.34 deg, I = 64
- (2 0 0), 26.86 deg, I = 60
- (1 0 0), 13.34 deg, I = 58
- (1 0 1), 16.60 deg, I = 48
- (1 0 -1), 15.73 deg, I = 42
- (2 1 -3), 46.64 deg, I = 39
- (3 1 -3), 56.06 deg, I = 33

Structural model:
Cell: 6.649 3.367 9.741 Å, 90.00 93.29 90.00°
Space group P2_1/m (No. 11)
Unique sites:
Sr  0.180  0.250  0.238
Ca  0.349  0.750  0.890
Cd  0.179  0.250  0.587
O  0.125  0.250  0.805
O  0.198  0.750  0.442
O  0.397  0.750  0.123



(3)
For KSbTeO6, a GGA-PBE-relaxed structure gives the simulated powder diffraction line list in this record (Cu Kα, 1.54184 Å).
No peak broadening, texture or thermal motion is included.

Largest 12 diffraction maxima, most intense first, 10 to 90 degrees two-theta:
- (0 0 2), 14.58 deg, I = 100
- (1 0 2), 24.25 deg, I = 88
- (1 1 4), 45.33 deg, I = 55
- (1 1 2), 36.90 deg, I = 39
- (1 1 0), 33.71 deg, I = 36
- (1 0 0), 19.27 deg, I = 25
- (2 -1 8), 71.53 deg, I = 19
- (2 1 2), 54.87 deg, I = 17
- (2 -1 6), 57.19 deg, I = 16
- (2 0 2), 41.96 deg, I = 15
- (0 0 4), 29.41 deg, I = 14
- (3 0 0), 60.29 deg, I = 13

Structural model:
Cell: 5.3175 5.3175 12.1482 Å, 90.00 90.00 120.00°
Space group P-31c (No. 163)
Unique sites:
K  0.0000  0.0000  0.0000
Sb  0.3333  0.6667  0.2500
Te  0.3333  0.6667  0.7500
O  0.0082  0.3882  0.6577